Entry 1:
This entry pairs a crystal structure of Eu3WCl3O6 with its simulated powder XRD pattern. Radiation: a wavelength of 1.5418 Å. Structure: a DFT-relaxed cell (GGA+U, the Materials Project).
Kinematic intensities with the Lorentz-polarization factor, no thermal factor.

Top 6 peaks for 15° ≤ 2θ ≤ 90°, in order of falling intensity:
d [Å], I/Imax
2.671, 1000
3.242, 470
3.534, 469
2.020, 307
3.080, 294
1.765, 290

Structural model:
abc: 9.4101 9.4101 5.3526
angles: 90.00 90.00 120.00
Space group P6_3/m (No. 176)
Unique sites:
Eu1 0.0898 0.4028 0.2500 [6 per cell]
W1 0.3333 0.6667 0.7500 [2 per cell]
Cl1 0.0494 0.2418 0.7500 [6 per cell]
O1 0.1602 0.6352 0.5174 [12 per cell]

Entry 2:
This entry pairs a crystal structure of KWNClF5 with its simulated powder XRD pattern. Radiation: a wavelength of 1.5418 Å. Structure: a DFT-relaxed cell (GGA+U, the Materials Project).
Kinematic intensities with the Lorentz-polarization factor, no thermal factor.

Top 6 peaks for 15° ≤ 2θ ≤ 90°, in order of falling intensity:
d [Å], I/Imax
5.258, 1000
4.786, 971
5.724, 841
5.565, 685
3.908, 684
3.257, 555

Structural model:
abc: 11.6117 7.9224 7.9324
angles: 90.00 99.65 90.00
Space group P2_1/c (No. 14)
Unique sites:
K1 0.1031 0.0674 0.2621 [4 per cell]
W1 0.2359 0.5173 0.3385 [4 per cell]
N1 0.3632 0.6108 0.2806 [4 per cell]
Cl1 0.4822 0.6787 0.2268 [4 per cell]
F1 0.0932 0.1004 0.9028 [4 per cell]
F2 0.1372 0.7184 0.3272 [4 per cell]
F3 0.1553 0.0351 0.6075 [4 per cell]
F4 0.2758 0.5463 0.5835 [4 per cell]
F5 0.2965 0.2124 0.8548 [4 per cell]

Entry 3:
This entry pairs a crystal structure of TeWNCl4F5 with its simulated powder XRD pattern. Radiation: a wavelength of 1.5418 Å. Structure: a DFT-relaxed cell (GGA+U, the Materials Project).
Kinematic intensities with the Lorentz-polarization factor, no thermal factor.

Top 6 peaks for 15° ≤ 2θ ≤ 90°, in order of falling intensity:
d [Å], I/Imax
5.859, 1000
4.744, 655
4.151, 588
3.708, 497
3.214, 475
3.551, 473

Structural model:
abc: 6.3915 6.4138 14.2986
angles: 83.87 86.54 80.90
Space group P-1 (No. 2)
Unique sites:
Te1 0.2435 0.2963 0.3719 [2 per cell]
W1 0.4652 0.5234 0.1430 [2 per cell]
N1 0.3487 0.3981 0.2451 [2 per cell]
Cl1 0.1740 0.7703 0.0981 [2 per cell]
Cl2 0.2072 0.6921 0.8585 [2 per cell]
Cl3 0.3639 0.3049 0.0287 [2 per cell]
Cl4 0.3879 0.2193 0.7961 [2 per cell]
F1 0.0238 0.5406 0.6476 [2 per cell]
F2 0.1443 0.2005 0.4918 [2 per cell]
F3 0.1509 0.0670 0.3240 [2 per cell]
F4 0.3324 0.5234 0.4230 [2 per cell]
F5 0.4929 0.8707 0.6047 [2 per cell]

Entry 4:
This entry pairs a crystal structure of K2FeH2Cl5O with its simulated powder XRD pattern. Radiation: a wavelength of 1.5418 Å. Structure: a DFT-relaxed cell (GGA+U, the Materials Project).
Kinematic intensities with the Lorentz-polarization factor, no thermal factor.

Top 6 peaks for 15° ≤ 2θ ≤ 90°, in order of falling intensity:
d [Å], I/Imax
2.863, 1000
5.850, 959
2.898, 957
2.388, 864
5.641, 855
2.820, 842

Structural model:
abc: 13.9782 9.5529 7.4006
angles: 90.00 90.00 90.00
Space group Pnma (No. 62)
Unique sites:
K1 0.1486 0.0026 0.1336 [8 per cell]
Fe1 0.1096 0.7500 0.6893 [4 per cell]
H1 0.0348 0.1661 0.5399 [8 per cell]
Cl1 0.0081 0.7500 0.9565 [4 per cell]
Cl2 0.1018 0.0011 0.6868 [8 per cell]
Cl3 0.2100 0.7500 0.4250 [4 per cell]
Cl4 0.2469 0.7500 0.8789 [4 per cell]
O1 0.0125 0.2500 0.4735 [4 per cell]